1.
Diffraction record for PmTm3Ge3. The powder XRD pattern is calculated, not measured: it uses the PBE geometry in Alexandria and a wavelength of 1.5418 Å.
Intensities are scaled so that the largest is 100.

Principal peaks in the range 10 to 80 degrees two-theta, in order of rising 2θ:
Position (°2θ), I/Imax, hkl
20.0, 28, 1 1 0
25.8, 40, 1 1 1
28.3, 27, 2 0 1
32.5, 56, 0 0 2
34.9, 57, 1 2 1
35.0, 100, 3 0 0
48.6, 80, 3 0 2
54.7, 26, 3 2 1
70.3, 20, 1 5 1
79.0, 19, 3 0 4

abc: 8.8715 8.8715 5.5045
angles: 90.00 90.00 120.00
Space group P6_3/m (No. 176)
Symmetry-distinct sites (fractional):
Pm  0.3333  0.6667  0.2500 x2
Tm  0.0131  0.3017  0.7500 x6
Ge  0.0272  0.6478  0.7500 x6

2.
Diffraction record for V5CuGe5. The powder XRD pattern is calculated, not measured: it uses the PBE geometry in Alexandria and a wavelength of 1.5418 Å.
Intensities are scaled so that the largest is 100.

Principal peaks in the range 10 to 80 degrees two-theta, in order of rising 2θ:
Position (°2θ), I/Imax, hkl
36.3, 33, 1 1 2
36.9, 100, 0 2 0
37.1, 87, 4 0 -2
38.8, 37, 2 0 2
40.0, 33, 1 1 -3
41.8, 34, 3 1 1
46.9, 24, 2 0 -4
53.3, 58, 4 2 -2
54.6, 26, 2 2 2
61.1, 25, 2 2 -4

abc: 9.970 4.875 7.760
angles: 90.00 115.43 90.00
Space group C2/m (No. 12)
Symmetry-distinct sites (fractional):
V  0.000  0.000  0.000 x2
V  0.111  0.500  0.215 x4
V  0.157  0.500  0.860 x4
Cu  0.000  0.000  0.500 x2
Ge  0.000  0.500  0.500 x2
Ge  0.147  0.000  0.817 x4
Ge  0.206  0.000  0.372 x4

3.
Diffraction record for Er4HgBi2. The powder XRD pattern is calculated, not measured: it uses the PBE geometry in Alexandria and a wavelength of 1.5418 Å.
Intensities are scaled so that the largest is 100.

Principal peaks in the range 10 to 80 degrees two-theta, in order of rising 2θ:
Position (°2θ), I/Imax, hkl
24.3, 15, 1 1 -1
26.7, 31, 0 0 2
27.7, 79, 3 1 -1
34.8, 17, 2 0 2
35.5, 100, 6 0 -2
35.9, 29, 5 1 -1
41.9, 46, 3 1 -3
43.1, 28, 0 2 0
57.1, 19, 6 2 -2
63.2, 13, 1 1 4

abc: 15.629 4.194 7.534
angles: 90.00 117.65 90.00
Space group C2/m (No. 12)
Symmetry-distinct sites (fractional):
Er  0.107  0.000  0.247 x4
Er  0.117  0.500  0.828 x4
Hg  0.000  0.000  0.500 x2
Bi  0.239  0.000  0.724 x4

4.
Diffraction record for TlGa2TeS6. The powder XRD pattern is calculated, not measured: it uses the PBE geometry in Alexandria and a wavelength of 1.5418 Å.
Intensities are scaled so that the largest is 100.

Principal peaks in the range 10 to 80 degrees two-theta, in order of rising 2θ:
Position (°2θ), I/Imax, hkl
14.5, 44, 2 0 0
22.0, 100, 2 2 0
22.9, 41, 2 2 -1
23.4, 39, 3 1 0
25.5, 61, 0 0 2
25.8, 48, 1 3 0
30.0, 54, 2 2 -2
32.1, 57, 4 0 -2
35.7, 49, 0 4 1
37.5, 51, 2 2 2

abc: 12.895 10.799 7.385
angles: 90.00 109.05 90.00
Space group C2/c (No. 15)
Symmetry-distinct sites (fractional):
Tl  0.000  0.187  0.250 x4
Ga  0.205  0.423  0.196 x8
Te  0.000  0.240  0.750 x4
S  0.103  0.083  0.645 x8
S  0.134  0.443  0.445 x8
S  0.163  0.221  0.088 x8

5.
Diffraction record for Rb2Tl6BiAu. The powder XRD pattern is calculated, not measured: it uses the PBE geometry in Alexandria and a wavelength of 1.5418 Å.
Intensities are scaled so that the largest is 100.

Principal peaks in the range 10 to 80 degrees two-theta, in order of rising 2θ:
Position (°2θ), I/Imax, hkl
12.1, 60, 0 0 6
16.5, 49, 0 1 5
25.8, 59, 0 1 11
28.2, 63, 2 0 5
29.9, 100, 0 2 7
33.5, 48, 1 1 12
34.7, 61, 2 0 11
35.2, 84, 1 2 2
36.0, 47, 2 1 4
46.3, 62, 2 2 0

abc: 7.8367 7.8367 43.9842
angles: 90.00 90.00 120.00
Space group R-3m (No. 166, hexagonal axes)
Symmetry-distinct sites (fractional):
Rb  0.0000  0.0000  0.0950 x6
Rb  0.0000  0.0000  0.2757 x6
Tl  0.0423  0.5212  0.8650 x18
Tl  0.0629  0.5315  0.3099 x18
Bi  0.0000  0.0000  0.4222 x6
Au  0.0000  0.0000  0.0000 x3
Au  0.0000  0.0000  0.5000 x3

6.
Diffraction record for Cs3SnAu3. The powder XRD pattern is calculated, not measured: it uses the PBE geometry in Alexandria and a wavelength of 1.5418 Å.
Intensities are scaled so that the largest is 100.

Principal peaks in the range 10 to 80 degrees two-theta, in order of rising 2θ:
Position (°2θ), I/Imax, hkl
15.2, 40, 1 1 1
18.6, 100, 0 4 0
24.3, 81, 0 0 2
24.7, 59, 3 1 0
30.8, 59, 0 4 2
32.5, 72, 2 6 0
34.9, 49, 3 1 2
41.0, 76, 2 6 2
54.2, 31, 5 5 2
60.7, 27, 2 6 4

abc: 11.007 19.073 7.334
angles: 90.00 90.00 90.00
Space group Cmcm (No. 63)
Symmetry-distinct sites (fractional):
Cs  0.000  0.188  0.250 x4
Cs  0.217  0.406  0.250 x8
Sn  0.000  0.333  0.750 x4
Au  0.000  0.190  0.750 x4
Au  0.213  0.405  0.750 x8